Hf6Be15Ni8: calculated powder diffractogram (Cu Kα X-rays), based on a structure optimized by DFT (PBE).
Kinematic intensities with the Lorentz-polarization factor, no thermal factor.

Structure:
abc: 10.9715 10.9715 10.9715
angles: 90.00 90.00 90.00
Space group Fm-3m (No. 225)
Inequivalent atoms, fractional coordinates:
Hf1 0.0000 0.0000 0.2087
Be1 0.0000 0.0000 0.5000
Be2 0.0000 0.2500 0.2500
Be3 0.1769 0.1769 0.1769
Ni1 0.1237 0.1237 0.3763

Peak list (10 most intense, 2θ from 15° to 90°, by intensity)
hkl, 2θ/deg, I (rel.)
2 2 2, 28.2, 100
5 1 1, 42.8, 80
4 4 0, 46.8, 78
3 3 1, 35.7, 67
2 0 0, 16.2, 46
4 2 2, 40.3, 29
7 3 3, 70.2, 29
5 5 3, 65.3, 21
5 5 1, 60.2, 21
2 2 0, 22.9, 19

***

CrNiSe: calculated powder diffractogram (Cu Kα X-rays), based on a structure optimized by DFT (PBE).
Kinematic intensities with the Lorentz-polarization factor, no thermal factor.

Structure:
abc: 5.7774 5.7774 5.7774
angles: 90.00 90.00 90.00
Space group F-43m (No. 216)
Inequivalent atoms, fractional coordinates:
Cr1 0.0000 0.0000 0.0000
Ni1 0.0000 0.0000 0.5000
Se1 0.2500 0.2500 0.7500

Peak list (10 most intense, 2θ from 15° to 90°, by intensity)
hkl, 2θ/deg, I (rel.)
2 2 0, 44.3, 100
1 1 1, 26.7, 45
4 2 2, 81.6, 30
3 1 1, 52.5, 20
4 0 0, 64.5, 15
3 3 1, 71.1, 8
5 1 1, 87.8, 6
2 0 0, 31.0, 6
2 2 2, 55.1, 1
4 2 0, 73.3, 1